# Sr4MgFe4O11
Calculated powder diffractogram, Cu Kα X-rays. Input: a crystal structure in the Materials Project, relaxed with GGA+U.

Atomic structure:
abc: 6.9684 5.5704 7.1134
angles: 90.00 103.39 90.00
Space group Pm (No. 6)
Symmetry-distinct sites (fractional):
Sr1 0.0000 0.0000 0.0000 [1 per cell]
Sr2 0.1406 0.5000 0.6599 [1 per cell]
Sr3 0.4937 0.0000 0.5057 [1 per cell]
Sr4 0.7827 0.5000 0.2889 [1 per cell]
Mg1 0.4515 0.5000 0.9946 [1 per cell]
Fe1 0.0121 0.0000 0.5226 [1 per cell]
Fe2 0.2619 0.5000 0.2702 [1 per cell]
Fe3 0.4861 0.0000 0.9977 [1 per cell]
Fe4 0.7004 0.5000 0.7240 [1 per cell]
O1 0.0867 0.2422 0.3465 [2 per cell]
O2 0.1476 0.5000 0.9911 [1 per cell]
O3 0.2409 0.0000 0.7629 [1 per cell]
O4 0.4475 0.5000 0.5495 [1 per cell]
O5 0.4586 0.2436 0.1966 [2 per cell]
O6 0.6487 0.2578 0.9180 [2 per cell]
O7 0.8365 0.2477 0.5987 [2 per cell]

Main lines, most intense first (2θ = 10–90°):
two_theta	Rel. int.	hkl
30.9	100.0	2 1 0
30.4	98.1	0 1 2
46.3	82.6	2 2 -2
32.1	60.0	0 2 0
32.4	50.4	2 0 -2
56.3	38.5	2 1 -4
41.4	22.2	2 0 2
56.5	17.4	2 3 0
57.2	16.6	4 1 -2
35.9	15.1	2 1 1

=====

# Li9Mn2Co5O16
Calculated powder diffractogram, Cu Kα X-rays. Input: a crystal structure in the Materials Project, relaxed with GGA+U.

Atomic structure:
abc: 5.1839 6.4535 8.6062
angles: 97.05 94.24 95.59
Space group P1 (No. 1)
Symmetry-distinct sites (fractional):
Li1 0.0000 0.0000 0.0000 [1 per cell]
Li2 0.9997 0.2714 0.7649 [1 per cell]
Li3 0.0032 0.5126 0.5178 [1 per cell]
Li4 0.2433 0.7013 0.8220 [1 per cell]
Li5 0.4795 0.6347 0.3847 [1 per cell]
Li6 0.4833 0.1336 0.8850 [1 per cell]
Li7 0.4852 0.4029 0.6396 [1 per cell]
Li8 0.4916 0.8824 0.1314 [1 per cell]
Li9 0.9910 0.7634 0.2556 [1 per cell]
Mn1 0.2417 0.9474 0.5758 [1 per cell]
Mn2 0.7415 0.3252 0.1966 [1 per cell]
Co1 0.2420 0.1999 0.3222 [1 per cell]
Co2 0.2421 0.4494 0.0710 [1 per cell]
Co3 0.7398 0.5737 0.9485 [1 per cell]
Co4 0.7410 0.0762 0.4476 [1 per cell]
Co5 0.7484 0.8206 0.7031 [1 per cell]
O1 0.0886 0.6972 0.0313 [1 per cell]
O2 0.1216 0.9857 0.7781 [1 per cell]
O3 0.1298 0.2207 0.5334 [1 per cell]
O4 0.1339 0.4660 0.2817 [1 per cell]
O5 0.3479 0.1771 0.1110 [1 per cell]
O6 0.3528 0.9333 0.3598 [1 per cell]
O7 0.3584 0.6867 0.6000 [1 per cell]
O8 0.3974 0.4386 0.8767 [1 per cell]
O9 0.5978 0.0781 0.6505 [1 per cell]
O10 0.6294 0.3427 0.4117 [1 per cell]
O11 0.6300 0.5975 0.1604 [1 per cell]
O12 0.6411 0.8368 0.9107 [1 per cell]
O13 0.8432 0.5544 0.7390 [1 per cell]
O14 0.8506 0.3059 0.9818 [1 per cell]
O15 0.8547 0.0545 0.2401 [1 per cell]
O16 0.8845 0.8193 0.4958 [1 per cell]

Main lines, most intense first (2θ = 10–90°):
two_theta	Rel. int.	hkl
18.5	100.0	0 1 1
44.7	50.8	1 0 -4
42.0	31.2	2 1 1
63.0	30.1	3 1 -3
36.7	23.4	1 1 -3
34.9	17.3	2 0 0
47.7	9.8	1 0 4
58.8	9.5	1 -4 0
37.5	8.5	0 2 2
37.9	7.7	1 2 -2

=====

# MgMn6O7F5
Calculated powder diffractogram, Cu Kα X-rays. Input: a crystal structure in the Materials Project, relaxed with GGA+U.

Atomic structure:
abc: 5.2141 5.7217 7.8701
angles: 86.07 84.12 81.37
Space group P1 (No. 1)
Symmetry-distinct sites (fractional):
Mg1 0.0000 0.0000 0.0000 [1 per cell]
Mn1 0.0985 0.1045 0.5653 [1 per cell]
Mn2 0.4240 0.5097 0.4996 [1 per cell]
Mn3 0.4717 0.8806 0.2150 [1 per cell]
Mn4 0.4986 0.2682 0.8731 [1 per cell]
Mn5 0.9389 0.6117 0.8144 [1 per cell]
Mn6 0.9736 0.3844 0.1980 [1 per cell]
O1 0.0854 0.8955 0.7595 [1 per cell]
O2 0.1563 0.3557 0.3992 [1 per cell]
O3 0.2184 0.3910 0.7082 [1 per cell]
O4 0.2620 0.8567 0.4237 [1 per cell]
O5 0.2751 0.1519 0.0920 [1 per cell]
O6 0.6414 0.5682 0.2903 [1 per cell]
O7 0.8261 0.3540 0.9633 [1 per cell]
F1 0.1540 0.6677 0.0647 [1 per cell]
F2 0.6408 0.6371 0.6599 [1 per cell]
F3 0.6693 0.8548 0.9681 [1 per cell]
F4 0.6911 0.1914 0.6107 [1 per cell]
F5 0.7991 0.0491 0.2336 [1 per cell]

Main lines, most intense first (2θ = 10–90°):
two_theta	Rel. int.	hkl
27.9	100.0	-1 1 1
23.3	88.2	1 1 1
34.4	54.6	0 2 -1
33.4	48.6	1 1 -2
33.6	41.7	1 -1 2
58.9	35.5	0 2 -4
19.8	30.9	1 0 1
40.2	25.7	1 0 -3
54.3	25.2	1 -3 0
47.7	20.9	2 1 3

=====

# Li4Mn3Fe2SnP6O24
Calculated powder diffractogram, Cu Kα X-rays. Input: a crystal structure in the Materials Project, relaxed with GGA+U.

Atomic structure:
abc: 8.5913 8.6646 8.7029
angles: 62.88 63.30 63.29
Space group P1 (No. 1)
Symmetry-distinct sites (fractional):
Li1 0.0000 0.0000 0.0000 [1 per cell]
Li2 0.1059 0.5021 0.8585 [1 per cell]
Li3 0.4511 0.7079 0.3033 [1 per cell]
Li4 0.8922 0.0566 0.5127 [1 per cell]
Mn1 0.0905 0.6965 0.4971 [1 per cell]
Mn2 0.3972 0.0043 0.7995 [1 per cell]
Mn3 0.5934 0.2045 0.9986 [1 per cell]
Fe1 0.2549 0.8545 0.6496 [1 per cell]
Fe2 0.7283 0.3501 0.1478 [1 per cell]
Sn1 0.8930 0.5022 0.3050 [1 per cell]
P1 0.1790 0.1036 0.2040 [1 per cell]
P2 0.3048 0.6064 0.0957 [1 per cell]
P3 0.4986 0.4093 0.5965 [1 per cell]
P4 0.6854 0.9129 0.4080 [1 per cell]
P5 0.8141 0.8043 0.9085 [1 per cell]
P6 0.9979 0.2975 0.7134 [1 per cell]
O1 0.0009 0.7794 0.7501 [1 per cell]
O2 0.0696 0.4448 0.6840 [1 per cell]
O3 0.1380 0.1034 0.7288 [1 per cell]
O4 0.1436 0.5331 0.1492 [1 per cell]
O5 0.1708 0.9514 0.3943 [1 per cell]
O6 0.1794 0.0490 0.0595 [1 per cell]
O7 0.2765 0.6727 0.2456 [1 per cell]
O8 0.2937 0.7632 0.9148 [1 per cell]
O9 0.3372 0.1716 0.1436 [1 per cell]
O10 0.3461 0.6011 0.5773 [1 per cell]
O11 0.4402 0.2559 0.6228 [1 per cell]
O12 0.4912 0.4555 0.0749 [1 per cell]
O13 0.4940 0.9220 0.5496 [1 per cell]
O14 0.5774 0.3698 0.7388 [1 per cell]
O15 0.6455 0.4448 0.3922 [1 per cell]
O16 0.6460 0.8537 0.8592 [1 per cell]
O17 0.6855 0.0930 0.2468 [1 per cell]
O18 0.7356 0.7495 0.3421 [1 per cell]
O19 0.8038 0.9416 0.9790 [1 per cell]
O20 0.8318 0.8786 0.4851 [1 per cell]
O21 0.8373 0.6006 0.0542 [1 per cell]
O22 0.8463 0.2789 0.9008 [1 per cell]
O23 0.9346 0.3455 0.5498 [1 per cell]
O24 0.9798 0.2558 0.2462 [1 per cell]

Main lines, most intense first (2θ = 10–90°):
two_theta	Rel. int.	hkl
19.6	100.0	0 1 -1
34.3	70.7	-2 1 1
32.4	40.0	1 3 2
23.5	35.4	1 0 2
23.4	35.3	0 2 1
23.6	34.6	2 1 0
32.9	32.7	3 2 1
32.6	19.0	2 1 3
32.7	17.2	2 3 1
53.5	15.9	-3 2 1

=====

# MnV2Pb2O8
Calculated powder diffractogram, Cu Kα X-rays. Input: a crystal structure in the Materials Project, relaxed with GGA+U.

Atomic structure:
abc: 7.4890 6.6376 9.1301
angles: 90.00 112.52 90.00
Space group P2_1 (No. 4)
Symmetry-distinct sites (fractional):
Mn1 0.9996 0.0000 0.0001 [2 per cell]
V1 0.0453 0.2500 0.3343 [2 per cell]
V2 0.4454 0.2499 0.1520 [2 per cell]
Pb1 0.2646 0.2499 0.7388 [2 per cell]
Pb2 0.3521 0.7496 0.4765 [2 per cell]
O1 0.0124 0.5273 0.7808 [2 per cell]
O2 0.0122 0.9722 0.7810 [2 per cell]
O3 0.0702 0.7499 0.5348 [2 per cell]
O4 0.1868 0.2501 0.0469 [2 per cell]
O5 0.2882 0.2502 0.4592 [2 per cell]
O6 0.4561 0.7498 0.9865 [2 per cell]
O7 0.4762 0.5426 0.7176 [2 per cell]
O8 0.4758 0.9572 0.7174 [2 per cell]

Main lines, most intense first (2θ = 10–90°):
two_theta	Rel. int.	hkl
27.4	100.0	2 1 -1
31.8	71.0	1 1 2
26.9	50.0	0 2 0
29.4	46.7	1 0 -3
10.5	44.3	0 0 1
19.5	36.5	1 0 1
40.2	32.2	1 2 -3
24.1	30.9	1 1 -2
28.9	28.5	0 2 1
52.8	27.2	3 2 1

=====

# Mg3WO4
Calculated powder diffractogram, Cu Kα X-rays. Input: a crystal structure in the Materials Project, relaxed with GGA+U.

Atomic structure:
abc: 4.4422 4.4422 4.4422
angles: 90.00 90.00 90.00
Space group Pm-3m (No. 221)
Symmetry-distinct sites (fractional):
Mg1 0.0000 0.0000 0.5000 [3 per cell]
W1 0.5000 0.5000 0.5000 [1 per cell]
O1 0.0000 0.0000 0.0000 [1 per cell]
O2 0.0000 0.5000 0.5000 [3 per cell]

Main lines, most intense first (2θ = 10–90°):
two_theta	Rel. int.	hkl
20.0	100.0	1 0 0
28.4	86.0	1 1 0
40.6	71.8	2 0 0
35.0	51.1	1 1 1
45.7	48.5	2 1 0
58.8	45.2	2 2 0
50.3	36.8	2 1 1
62.7	24.0	3 0 0
70.3	23.8	3 1 1
81.0	19.1	3 2 1

=====

Q: Which formula does entry 2 have?
A: Li9Mn2Co5O16